Record 1
AcSe2: simulated XRD peak list (Cu Kα X-rays), based on a structure optimized by DFT (GGA-PBE).
Intensities are scaled so that the largest is 100.

Most intense lines, 2θ from 10° to 80°, in order of rising 2θ:
- 3.947 Å, 22.53°, I 90
- 3.113 Å, 28.68°, I 54
- 2.971 Å, 30.07°, I 30
- 2.939 Å, 30.42°, I 46
- 2.552 Å, 35.16°, I 100
- 2.463 Å, 36.48°, I 63
- 2.196 Å, 41.10°, I 29
- 1.642 Å, 56.01°, I 28

Crystal structure
```
data_AcSe2
_chemical_formula_sum 'Ac4 Se8'
_cell_length_a 8.914
_cell_length_b 4.412
_cell_length_c 8.785
_cell_angle_alpha 90.00
_cell_angle_beta 90.09
_cell_angle_gamma 90.00
_space_group_name_H-M_alt 'P 1 21/c 1'
_space_group_IT_number 14
loop_
_space_group_symop_operation_xyz
'x,y,z'
'-x,-y,-z'
'-x,y+1/2,-z+1/2'
'x,-y+1/2,z+1/2'
loop_
_atom_site_label
_atom_site_type_symbol
_atom_site_fract_x
_atom_site_fract_y
_atom_site_fract_z
_atom_site_occupancy
Ac1 Ac 0.223 0.222 0.373 1
Se1 Se 0.135 0.742 0.125 1
Se2 Se 0.498 0.672 0.385 1
```

***

Record 2
Ac6Si3Se14: simulated XRD peak list (Cu Kα X-rays), based on a structure optimized by DFT (GGA-PBE).
Intensities are scaled so that the largest is 100.

Most intense lines, 2θ from 10° to 80°, in order of rising 2θ:
- 4.845 Å, 18.31°, I 46
- 4.146 Å, 21.43°, I 55
- 3.812 Å, 23.34°, I 97
- 2.862 Å, 31.25°, I 53
- 2.687 Å, 33.34°, I 100
- 2.604 Å, 34.44°, I 55
- 2.464 Å, 36.46°, I 97
- 2.361 Å, 38.12°, I 65

Crystal structure
```
data_Ac6Si3Se14
_chemical_formula_sum 'Ac6 Si3 Se14'
_cell_length_a 11.1887
_cell_length_b 11.1887
_cell_length_c 6.1751
_cell_angle_alpha 90.00
_cell_angle_beta 90.00
_cell_angle_gamma 120.00
_space_group_name_H-M_alt 'P 3'
_space_group_IT_number 143
loop_
_space_group_symop_operation_xyz
'x,y,z'
'-y,x-y,z'
'-x+y,-x,z'
loop_
_atom_site_label
_atom_site_type_symbol
_atom_site_fract_x
_atom_site_fract_y
_atom_site_fract_z
_atom_site_occupancy
Ac1 Ac 0.0244 0.4560 0.0000 1
Ac2 Ac 0.3105 0.2124 0.4931 1
Si1 Si 0.0000 0.0000 0.0782 1
Si2 Si 0.3333 0.6667 0.5871 1
Si3 Si 0.6667 0.3333 0.7403 1
Se1 Se 0.0000 0.0000 0.7109 1
Se2 Se 0.0736 0.2171 0.2206 1
Se3 Se 0.1902 0.7411 0.7272 1
Se4 Se 0.3333 0.6667 0.2193 1
Se5 Se 0.4220 0.2500 0.9774 1
Se6 Se 0.5007 0.0855 0.4963 1
```